Entry 1:
This entry pairs a crystal structure of Dy3Ir2 with its computed X-ray powder pattern. Radiation: λ = 1.5418 Å (Cu Kα). Structure: a cell relaxed with GGA-PBE.
Neutral-atom scattering factors, no anomalous dispersion.

Largest 10 diffraction maxima, sorted by position, 2θ from 15° to 90°:
21.52 deg, 4.130 Å, I = 182; 26.17 deg, 3.405 Å, I = 164; 36.97 deg, 2.431 Å, I = 1000; 37.73 deg, 2.384 Å, I = 907; 53.86 deg, 1.702 Å, I = 338; 66.11 deg, 1.413 Å, I = 128; 67.50 deg, 1.388 Å, I = 116; 67.68 deg, 1.384 Å, I = 231; 68.16 deg, 1.376 Å, I = 108; 78.78 deg, 1.215 Å, I = 78

Cell and atoms:
a = 8.270 Å, b = 4.763 Å, c = 6.015 Å
α = 90.00°, β = 90.13°, γ = 90.00°
Space group C2/m (No. 12)
Symmetry-distinct sites (fractional):
1 Dy 0.000 0.000 0.000 (multiplicity 2)
2 Dy 0.167 0.500 0.664 (multiplicity 4)
3 Ir 0.167 0.500 0.171 (multiplicity 4)

Entry 2:
This entry pairs a crystal structure of Dy4Ir3 with its computed X-ray powder pattern. Radiation: λ = 1.5418 Å (Cu Kα). Structure: a cell relaxed with GGA-PBE.
Neutral-atom scattering factors, no anomalous dispersion.

Largest 10 diffraction maxima, sorted by position, 2θ from 15° to 90°:
21.66 deg, 4.104 Å, I = 95; 22.62 deg, 3.931 Å, I = 85; 28.52 deg, 3.129 Å, I = 56; 37.25 deg, 2.414 Å, I = 1000; 37.38 deg, 2.406 Å, I = 991; 53.80 deg, 1.704 Å, I = 351; 67.07 deg, 1.395 Å, I = 181; 67.37 deg, 1.390 Å, I = 537; 79.39 deg, 1.207 Å, I = 113; 79.72 deg, 1.203 Å, I = 113

Cell and atoms:
a = 4.8114 Å, b = 4.8114 Å, c = 23.6946 Å
α = 90.00°, β = 90.00°, γ = 120.00°
Space group R-3m (No. 166, hexagonal axes)
Symmetry-distinct sites (fractional):
1 Dy 0.0000 0.0000 0.1240 (multiplicity 6)
2 Dy 0.0000 0.0000 0.3746 (multiplicity 6)
3 Ir 0.0000 0.0000 0.2502 (multiplicity 6)
4 Ir 0.0000 0.0000 0.5000 (multiplicity 3)

Entry 3:
This entry pairs a crystal structure of LiDy6Ir5 with its computed X-ray powder pattern. Radiation: λ = 1.5418 Å (Cu Kα). Structure: a cell relaxed with GGA-PBE.
Neutral-atom scattering factors, no anomalous dispersion.

Largest 10 diffraction maxima, sorted by position, 2θ from 15° to 90°:
36.63 deg, 2.453 Å, I = 1000; 37.16 deg, 2.419 Å, I = 237; 37.58 deg, 2.394 Å, I = 235; 51.65 deg, 1.770 Å, I = 94; 53.88 deg, 1.702 Å, I = 165; 65.33 deg, 1.428 Å, I = 91; 65.61 deg, 1.423 Å, I = 96; 66.65 deg, 1.403 Å, I = 169; 67.20 deg, 1.393 Å, I = 172; 77.88 deg, 1.227 Å, I = 111

Cell and atoms:
a = 4.787 Å, b = 14.516 Å, c = 7.079 Å
α = 90.00°, β = 90.00°, γ = 90.00°
Space group Cmmm (No. 65)
Symmetry-distinct sites (fractional):
1 Li 0.000 0.000 0.000 (multiplicity 2)
2 Dy 0.000 0.170 0.252 (multiplicity 8)
3 Dy 0.000 0.500 0.260 (multiplicity 4)
4 Ir 0.000 0.000 0.500 (multiplicity 2)
5 Ir 0.000 0.330 0.500 (multiplicity 4)
6 Ir 0.000 0.340 0.000 (multiplicity 4)

Entry 4:
This entry pairs a crystal structure of NaDyIrO4 with its computed X-ray powder pattern. Radiation: λ = 1.5418 Å (Cu Kα). Structure: a cell relaxed with GGA-PBE.
Neutral-atom scattering factors, no anomalous dispersion.

Largest 10 diffraction maxima, sorted by position, 2θ from 15° to 90°:
18.46 deg, 4.806 Å, I = 329; 18.95 deg, 4.683 Å, I = 269; 21.54 deg, 4.126 Å, I = 220; 32.55 deg, 2.750 Å, I = 821; 33.26 deg, 2.694 Å, I = 327; 33.42 deg, 2.681 Å, I = 400; 33.54 deg, 2.672 Å, I = 1000; 47.01 deg, 1.933 Å, I = 317; 47.86 deg, 1.900 Å, I = 325; 58.90 deg, 1.568 Å, I = 304

Cell and atoms:
a = 3.253 Å, b = 16.088 Å, c = 9.612 Å
α = 90.00°, β = 90.00°, γ = 90.00°
Space group Amm2 (No. 38)
Symmetry-distinct sites (fractional):
1 Na 0.000 0.000 0.000 (multiplicity 2)
2 Na 0.500 0.151 0.869 (multiplicity 4)
3 Dy 0.500 0.000 0.319 (multiplicity 2)
4 Dy 0.500 0.172 0.534 (multiplicity 4)
5 Ir 0.000 0.000 0.687 (multiplicity 2)
6 Ir 0.000 0.161 0.186 (multiplicity 4)
7 O 0.000 0.097 0.376 (multiplicity 4)
8 O 0.000 0.125 0.680 (multiplicity 4)
9 O 0.000 0.228 0.008 (multiplicity 4)
10 O 0.500 0.000 0.559 (multiplicity 2)
11 O 0.500 0.000 0.817 (multiplicity 2)
12 O 0.500 0.089 0.124 (multiplicity 4)
13 O 0.500 0.226 0.247 (multiplicity 4)

Number 1 is which compound?
Dy3Ir2